Theoretical powder diffraction line list of SmMgTlGa for Cu Kα X-rays, from DFT lattice parameters and positions (PBE).

Principal peaks in the range 2θ from 5° to 70°, in order of falling intensity:
| d/Å | Rel. int. |
| --- | --- |
| 2.637 | 100.0 |
| 4.550 | 30.2 |
| 3.236 | 26.4 |
| 2.377 | 18.7 |
| 2.275 | 16.5 |
| 2.208 | 15.1 |
| 1.417 | 14.7 |
| 1.373 | 13.2 |
| 1.644 | 12.1 |
| 1.618 | 11.5 |

Atomic structure:
```
data_SmMgTlGa
_chemical_formula_sum 'Sm1 Mg1 Tl1 Ga1'
_cell_length_a 4.4162
_cell_length_b 4.5496
_cell_length_c 4.7545
_cell_angle_alpha 90.00
_cell_angle_beta 90.00
_cell_angle_gamma 90.00
_symmetry_space_group_name_H-M 'P m m m'
_symmetry_Int_Tables_number 47
_symmetry_space_group_name_Hall '-P 2 2'
loop_
_atom_site_label
_atom_site_type_symbol
_atom_site_fract_x
_atom_site_fract_y
_atom_site_fract_z
_atom_site_occupancy
Sm1 Sm 0.0000 0.0000 0.0000 1
Mg1 Mg 0.0000 0.5000 0.5000 1
Tl1 Tl 0.5000 0.0000 0.5000 1
Ga1 Ga 0.5000 0.5000 0.0000 1
```

---

Theoretical powder diffraction line list of Mg14GaSn for Cu Kα X-rays, from DFT lattice parameters and positions (PBE).

Principal peaks in the range 2θ from 5° to 70°, in order of falling intensity:
| d/Å | Rel. int. |
| --- | --- |
| 2.443 | 100.0 |
| 10.139 | 63.6 |
| 2.413 | 47.3 |
| 2.535 | 35.9 |
| 2.789 | 27.8 |
| 4.826 | 24.1 |
| 1.348 | 18.7 |
| 1.445 | 18.3 |
| 1.876 | 17.2 |
| 1.593 | 16.8 |

Atomic structure:
```
data_Mg14GaSn
_chemical_formula_sum 'Mg28 Ga2 Sn2'
_cell_length_a 10.1387
_cell_length_b 6.4756
_cell_length_c 10.9744
_cell_angle_alpha 90.00
_cell_angle_beta 90.00
_cell_angle_gamma 90.00
_symmetry_space_group_name_H-M 'A m m 2'
_symmetry_Int_Tables_number 38
_symmetry_space_group_name_Hall 'A 2 -2'
loop_
_atom_site_label
_atom_site_type_symbol
_atom_site_fract_x
_atom_site_fract_y
_atom_site_fract_z
_atom_site_occupancy
Mg1 Mg 0.0000 0.0000 0.0000 1
Mg2 Mg 0.0000 0.0000 0.4989 1
Mg3 Mg 0.0000 0.2489 0.2479 1
Mg4 Mg 0.2503 0.0000 0.8300 1
Mg5 Mg 0.2548 0.0000 0.3317 1
Mg6 Mg 0.2567 0.2454 0.5801 1
Mg7 Mg 0.5000 0.2493 0.7502 1
Ga1 Ga 0.5000 0.0000 0.4962 1
Sn1 Sn 0.5000 0.0000 0.9978 1
```

---

Theoretical powder diffraction line list of Mg3GaSn for Cu Kα X-rays, from DFT lattice parameters and positions (PBE).

Principal peaks in the range 2θ from 5° to 70°, in order of falling intensity:
| d/Å | Rel. int. |
| --- | --- |
| 2.461 | 100.0 |
| 2.453 | 98.0 |
| 3.714 | 71.3 |
| 3.153 | 44.4 |
| 2.233 | 44.3 |
| 2.308 | 40.3 |
| 3.210 | 39.6 |
| 3.818 | 33.1 |
| 5.130 | 32.1 |
| 10.259 | 29.8 |

Atomic structure:
```
data_Mg3GaSn
_chemical_formula_sum 'Mg24 Ga8 Sn8'
_cell_length_a 15.8929
_cell_length_b 13.8501
_cell_length_c 4.4669
_cell_angle_alpha 90.00
_cell_angle_beta 106.07
_cell_angle_gamma 90.00
_symmetry_space_group_name_H-M 'C 1 2/c 1'
_symmetry_Int_Tables_number 15
_symmetry_space_group_name_Hall '-C 2yc'
loop_
_atom_site_label
_atom_site_type_symbol
_atom_site_fract_x
_atom_site_fract_y
_atom_site_fract_z
_atom_site_occupancy
Mg1 Mg 0.0987 0.0847 0.3518 1
Mg2 Mg 0.1102 0.2562 0.8588 1
Mg3 Mg 0.1313 0.4154 0.3797 1
Ga1 Ga 0.0000 0.2637 0.2500 1
Ga2 Ga 0.0000 0.4324 0.7500 1
Sn1 Sn 0.2353 0.0958 0.9870 1
```

---

Theoretical powder diffraction line list of Mg3Ga2Sn2 for Cu Kα X-rays, from DFT lattice parameters and positions (PBE).

Principal peaks in the range 2θ from 5° to 70°, in order of falling intensity:
| d/Å | Rel. int. |
| --- | --- |
| 3.298 | 100.0 |
| 2.708 | 94.9 |
| 3.638 | 67.2 |
| 2.184 | 53.2 |
| 4.089 | 51.8 |
| 2.209 | 49.8 |
| 3.266 | 49.6 |
| 2.245 | 43.6 |
| 2.242 | 41.3 |
| 2.144 | 37.2 |

Atomic structure:
```
data_Mg3Ga2Sn2
_chemical_formula_sum 'Mg3 Ga2 Sn2'
_cell_length_a 4.4173
_cell_length_b 5.1661
_cell_length_c 7.6119
_cell_angle_alpha 86.58
_cell_angle_beta 73.26
_cell_angle_gamma 89.92
_symmetry_space_group_name_H-M 'P -1'
_symmetry_Int_Tables_number 2
_symmetry_space_group_name_Hall '-P 1'
loop_
_atom_site_label
_atom_site_type_symbol
_atom_site_fract_x
_atom_site_fract_y
_atom_site_fract_z
_atom_site_occupancy
Mg1 Mg 0.0000 0.0000 0.0000 1
Mg2 Mg 0.2738 0.2608 0.4532 1
Ga1 Ga 0.0937 0.5371 0.8114 1
Sn1 Sn 0.3743 0.7922 0.2522 1
```

---

Theoretical powder diffraction line list of MgGa3Sn for Cu Kα X-rays, from DFT lattice parameters and positions (PBE).

Principal peaks in the range 2θ from 5° to 70°, in order of falling intensity:
| d/Å | Rel. int. |
| --- | --- |
| 2.575 | 100.0 |
| 2.523 | 67.9 |
| 2.498 | 58.5 |
| 2.155 | 38.0 |
| 3.653 | 37.7 |
| 2.026 | 37.0 |
| 1.632 | 31.8 |
| 2.110 | 29.4 |
| 4.996 | 20.4 |
| 1.665 | 15.1 |

Atomic structure:
```
data_MgGa3Sn
_chemical_formula_sum 'Mg2 Ga6 Sn2'
_cell_length_a 4.3096
_cell_length_b 6.8873
_cell_length_c 7.2580
_cell_angle_alpha 90.00
_cell_angle_beta 90.00
_cell_angle_gamma 90.00
_symmetry_space_group_name_H-M 'P m m n'
_symmetry_Int_Tables_number 59
loop_
_symmetry_equiv_pos_as_xyz
'x,y,z'
'-x,-y,-z'
'-x+1/2,-y+1/2,z'
'x+1/2,y+1/2,-z'
'x+1/2,-y,-z'
'-x+1/2,y,z'
'-x,y+1/2,-z'
'x,-y+1/2,z'
loop_
_atom_site_label
_atom_site_type_symbol
_atom_site_fract_x
_atom_site_fract_y
_atom_site_fract_z
_atom_site_occupancy
Mg1 Mg 0.2500 0.2500 0.2149 1
Ga1 Ga 0.2500 0.0457 0.7797 1
Ga2 Ga 0.2500 0.7500 0.0555 1
Sn1 Sn 0.2500 0.7500 0.4684 1
```

---

Theoretical powder diffraction line list of Mg8GaSn2 for Cu Kα X-rays, from DFT lattice parameters and positions (PBE).

Principal peaks in the range 2θ from 5° to 70°, in order of falling intensity:
| d/Å | Rel. int. |
| --- | --- |
| 2.522 | 100.0 |
| 2.405 | 87.8 |
| 3.971 | 62.0 |
| 3.447 | 55.7 |
| 4.177 | 41.4 |
| 3.916 | 38.5 |
| 2.106 | 29.9 |
| 3.513 | 21.5 |
| 2.469 | 19.4 |
| 2.086 | 18.5 |

Atomic structure:
```
data_Mg8GaSn2
_chemical_formula_sum 'Mg16 Ga2 Sn4'
_cell_length_a 15.9933
_cell_length_b 4.8137
_cell_length_c 7.0418
_cell_angle_alpha 90.00
_cell_angle_beta 112.12
_cell_angle_gamma 90.00
_symmetry_space_group_name_H-M 'C 1 2/m 1'
_symmetry_Int_Tables_number 12
_symmetry_space_group_name_Hall '-C 2y'
loop_
_atom_site_label
_atom_site_type_symbol
_atom_site_fract_x
_atom_site_fract_y
_atom_site_fract_z
_atom_site_occupancy
Mg1 Mg 0.0231 0.0000 0.2936 1
Mg2 Mg 0.0907 0.5000 0.9360 1
Mg3 Mg 0.1600 0.5000 0.4251 1
Mg4 Mg 0.1804 0.0000 0.7476 1
Ga1 Ga 0.0000 0.5000 0.5000 1
Sn1 Sn 0.1839 0.0000 0.1761 1
```

---

Theoretical powder diffraction line list of Mg3Ga2Sn3 for Cu Kα X-rays, from DFT lattice parameters and positions (PBE).

Principal peaks in the range 2θ from 5° to 70°, in order of falling intensity:
| d/Å | Rel. int. |
| --- | --- |
| 2.573 | 100.0 |
| 4.012 | 61.3 |
| 2.328 | 60.8 |
| 2.542 | 58.8 |
| 2.317 | 51.0 |
| 2.859 | 47.4 |
| 3.354 | 29.2 |
| 1.547 | 26.8 |
| 1.520 | 24.6 |
| 2.365 | 22.3 |

Atomic structure:
```
data_Mg3Ga2Sn3
_chemical_formula_sum 'Mg9 Ga6 Sn9'
_cell_length_a 8.0247
_cell_length_b 8.0247
_cell_length_c 10.0625
_cell_angle_alpha 90.00
_cell_angle_beta 90.00
_cell_angle_gamma 120.00
_symmetry_space_group_name_H-M 'R 3 2'
_symmetry_Int_Tables_number 155
_symmetry_space_group_name_Hall 'R 3 2"'
loop_
_atom_site_label
_atom_site_type_symbol
_atom_site_fract_x
_atom_site_fract_y
_atom_site_fract_z
_atom_site_occupancy
Mg1 Mg 0.0000 0.7308 0.0000 1
Ga1 Ga 0.0000 0.0000 0.2390 1
Sn1 Sn 0.0000 0.2686 0.5000 1
```

---

Theoretical powder diffraction line list of MgGa4Sn for Cu Kα X-rays, from DFT lattice parameters and positions (PBE).

Principal peaks in the range 2θ from 5° to 70°, in order of falling intensity:
| d/Å | Rel. int. |
| --- | --- |
| 3.278 | 100.0 |
| 2.207 | 83.2 |
| 2.478 | 65.6 |
| 3.035 | 61.8 |
| 2.225 | 39.7 |
| 2.099 | 37.3 |
| 2.662 | 33.0 |
| 1.966 | 32.5 |
| 3.263 | 30.3 |
| 2.735 | 28.1 |

Atomic structure:
```
data_MgGa4Sn
_chemical_formula_sum 'Mg4 Ga16 Sn4'
_cell_length_a 11.9722
_cell_length_b 8.3952
_cell_length_c 6.0733
_cell_angle_alpha 90.00
_cell_angle_beta 118.77
_cell_angle_gamma 90.00
_symmetry_space_group_name_H-M 'C 1 2/m 1'
_symmetry_Int_Tables_number 12
_symmetry_space_group_name_Hall '-C 2y'
loop_
_atom_site_label
_atom_site_type_symbol
_atom_site_fract_x
_atom_site_fract_y
_atom_site_fract_z
_atom_site_occupancy
Mg1 Mg 0.0160 0.0000 0.2666 1
Ga1 Ga 0.0000 0.2964 0.0000 1
Ga2 Ga 0.1161 0.2706 0.7033 1
Ga3 Ga 0.2259 0.0000 0.1967 1
Sn1 Sn 0.2212 0.5000 0.2624 1
```